Structure and simulated powder diffraction line list of Sm2AsSe (DFT lattice parameters and positions (PBE); Cu Ka).
Lines closer than 0.1° are merged.

Cell and atoms:
```
Sm2AsSe
1.0
4.194 0.000 0.000
0.000 4.194 0.000
0.000 0.000 5.927
Sm As Se
2 1 1
Direct
0.000 0.000 0.000
0.500 0.500 0.500
0.000 0.000 0.500
0.500 0.500 0.000
```

Most intense lines, 10° ≤ 2θ ≤ 90°, low angle first:
2θ 26.03, intensity 18, (1 0 1); 2θ 30.14, intensity 100, (1 1 0); 2θ 43.15, intensity 75, (2 0 0); 2θ 51.08, intensity 9, (2 1 1); 2θ 53.53, intensity 26, (2 0 2); 2θ 62.67, intensity 12, (2 2 0); 2θ 69.04, intensity 4, (3 0 1); 2θ 71.10, intensity 34, (3 1 0); 2θ 79.12, intensity 25, (3 1 2); 2θ 84.99, intensity 3, (3 2 1)